(1)
Starting from a structure optimized by DFT (GGA+U), the powder diffraction line list of Li2VOF5 was simulated for CuKα.
Neutral-atom scattering factors, no anomalous dispersion.

Crystal structure
Cell: 5.097 5.294 9.007 Å, 90.00 122.66 90.00°
Space group Pc (No. 7)
Asymmetric unit:
Li1 0.000 0.187 0.000 [2 per cell]
Li2 0.771 0.246 0.249 [2 per cell]
V1 0.285 0.264 0.750 [2 per cell]
O1 0.603 0.417 0.801 [2 per cell]
F1 0.019 0.453 0.168 [2 per cell]
F2 0.132 0.186 0.515 [2 per cell]
F3 0.339 0.296 0.973 [2 per cell]
F4 0.486 0.048 0.309 [2 per cell]
F5 0.915 0.055 0.698 [2 per cell]

Main lines, in order of rising 2θ (10 to 80 degrees two-theta):
| 2θ/deg | intensity |
| --- | --- |
| 20.46 | 1000 |
| 20.70 | 580 |
| 21.31 | 511 |
| 23.46 | 536 |
| 24.25 | 971 |
| 39.26 | 308 |
| 40.02 | 321 |
| 40.33 | 381 |
| 40.75 | 309 |
| 55.07 | 493 |

---

(2)
Starting from a structure optimized by DFT (GGA+U), the powder diffraction line list of Li2V4OF12 was simulated for CuKα.
Neutral-atom scattering factors, no anomalous dispersion.

Crystal structure
Cell: 3.954 8.296 8.575 Å, 80.90 87.50 77.33°
Space group P1 (No. 1)
Asymmetric unit:
Li1 0.000 0.000 0.000 [1 per cell]
Li2 0.186 0.853 0.551 [1 per cell]
V1 0.000 0.621 0.905 [1 per cell]
V2 0.145 0.265 0.635 [1 per cell]
V3 0.171 0.235 0.283 [1 per cell]
V4 0.956 0.619 0.293 [1 per cell]
O1 0.078 0.403 0.424 [1 per cell]
F1 0.063 0.454 0.112 [1 per cell]
F2 0.065 0.458 0.760 [1 per cell]
F3 0.192 0.103 0.822 [1 per cell]
F4 0.235 0.076 0.493 [1 per cell]
F5 0.252 0.062 0.152 [1 per cell]
F6 0.453 0.637 0.283 [1 per cell]
F7 0.504 0.615 0.912 [1 per cell]
F8 0.643 0.262 0.637 [1 per cell]
F9 0.670 0.235 0.268 [1 per cell]
F10 0.865 0.774 0.441 [1 per cell]
F11 0.925 0.774 0.075 [1 per cell]
F12 0.961 0.811 0.749 [1 per cell]

Main lines, in order of rising 2θ (10 to 80 degrees two-theta):
| 2θ/deg | intensity |
| --- | --- |
| 11.06 | 702 |
| 14.03 | 597 |
| 22.22 | 617 |
| 23.06 | 1000 |
| 23.35 | 580 |
| 25.26 | 468 |
| 28.27 | 396 |
| 41.90 | 298 |
| 42.97 | 440 |
| 45.97 | 440 |